Record 1
Theoretical powder XRD pattern of Li2CrP5O15 for copper Kα, from a structure optimized by DFT (GGA+U).
Kinematic intensities with the Lorentz-polarization factor, no thermal factor.

Most intense lines, 5° ≤ 2θ ≤ 70°, in order of falling intensity:
h k l, d/Å, I (rel.)
1 0 -1, 4.813, 100.0
0 0 2, 4.376, 79.9
1 2 1, 3.463, 73.9
0 0 1, 8.751, 60.3
0 2 1, 5.324, 52.7
0 1 1, 7.330, 48.1
0 3 1, 3.982, 46.5
1 2 -1, 3.910, 37.3
0 3 2, 3.129, 35.7
1 4 0, 2.795, 34.3

Structure:
Unit cell a=5.1604 b=13.4150 c=8.9295 alpha=90.00 beta=101.47 gamma=90.00
Space group P2_1/m (No. 11)
One atom of each set of equivalent atoms:
Li 0.0568 0.1179 0.0897 x4
Cr 0.5000 0.0000 0.5000 x2
P 0.0024 0.1406 0.5193 x4
P 0.3416 0.0764 0.8139 x4
P 0.4559 0.7500 0.9904 x2
O 0.0528 0.2500 0.4620 x2
O 0.1369 0.1455 0.6958 x4
O 0.1535 0.0727 0.4318 x4
O 0.1944 0.0311 0.9249 x4
O 0.1943 0.7500 0.8822 x2
O 0.2860 0.2500 0.0620 x2
O 0.2909 0.6262 0.4969 x4
O 0.4449 0.6570 0.1073 x4
O 0.4862 0.0091 0.7222 x4

***

Record 2
Theoretical powder XRD pattern of LiCrPO4 for copper Kα, from a structure optimized by DFT (GGA+U).
Kinematic intensities with the Lorentz-polarization factor, no thermal factor.

Most intense lines, 5° ≤ 2θ ≤ 70°, in order of falling intensity:
h k l, d/Å, I (rel.)
2 0 0, 3.973, 100.0
0 1 1, 4.382, 90.6
1 3 1, 2.478, 60.5
1 1 0, 6.008, 55.2
2 0 1, 3.107, 42.8
0 2 0, 4.592, 41.4
1 1 1, 3.837, 36.3
2 2 1, 2.573, 32.4
2 1 1, 2.943, 29.9
3 1 2, 1.781, 29.6

Structure:
Unit cell a=7.9445 b=9.1833 c=4.9858 alpha=90.00 beta=90.00 gamma=90.00
Space group Pna2_1 (No. 33)
One atom of each set of equivalent atoms:
Li 0.0487 0.1171 0.0000 x4
Cr 0.1651 0.5394 0.0212 x4
P 0.2308 0.3536 0.6159 x4
O 0.0598 0.4272 0.7030 x4
O 0.1386 0.9569 0.2638 x4
O 0.2242 0.1993 0.7437 x4
O 0.2395 0.8502 0.8148 x4